Entry 1:
Diffraction record for U2CuPt6. The PXRD pattern is computed, not measured: it uses DFT lattice parameters and positions (GGA-PBE) and λ = 1.5418 Å (Cu Kα).

Cell and atoms:
Unit cell a=5.5710 b=5.5710 c=6.0492 alpha=90.10 beta=90.10 gamma=60.01
Element x y z (fractional)
1 U 0.1669 0.1669 0.3614
2 U 0.8331 0.8331 0.6386
3 Cu 0.5000 0.5000 0.5000
4 Pt 0.1565 0.6718 0.1881
5 Pt 0.3285 0.3285 0.8110
6 Pt 0.3282 0.8435 0.8119
7 Pt 0.6718 0.1565 0.1881
8 Pt 0.6715 0.6715 0.1890
9 Pt 0.8435 0.3282 0.8119

The 10 most intense peaks (10° ≤ 2θ ≤ 90°), in order of falling intensity:
2θ/deg  d/Å  I_rel
40.25  2.241  100
35.01  2.563  39
35.48  2.530  24
37.27  2.412  22
67.22  1.393  21
29.53  3.025  17
59.15  1.562  14
81.34  1.183  13
48.96  1.860  11
48.23  1.887  10



Entry 2:
Diffraction record for ZrNp2Se6. The PXRD pattern is computed, not measured: it uses DFT lattice parameters and positions (GGA-PBE) and λ = 1.5418 Å (Cu Kα).

Cell and atoms:
Unit cell a=6.5793 b=6.5793 c=12.3654 alpha=90.00 beta=90.00 gamma=90.00
Element x y z (fractional)
1 Zr 0.0000 0.0000 0.0000
2 Zr 0.5000 0.5000 0.5000
3 Np 0.0000 0.0000 0.3306
4 Np 0.0000 0.0000 0.6694
5 Np 0.5000 0.5000 0.1694
6 Np 0.5000 0.5000 0.8306
7 Se 0.1954 0.1954 0.1585
8 Se 0.1954 0.1954 0.8415
9 Se 0.2019 0.2019 0.5000
10 Se 0.2981 0.7019 0.0000
11 Se 0.3046 0.6954 0.3415
12 Se 0.3046 0.6954 0.6585
13 Se 0.6954 0.3046 0.3415
14 Se 0.6954 0.3046 0.6585
15 Se 0.7019 0.2981 0.0000
16 Se 0.7981 0.7981 0.5000
17 Se 0.8046 0.8046 0.1585
18 Se 0.8046 0.8046 0.8415

The 10 most intense peaks (10° ≤ 2θ ≤ 90°), in order of falling intensity:
2θ/deg  d/Å  I_rel
19.08  4.652  100
37.56  2.395  92
46.93  1.936  48
25.50  3.493  43
28.94  3.085  38
38.71  2.326  34
59.97  1.543  18
82.32  1.171  18
48.30  1.884  18
43.93  2.061  17



Entry 3:
Diffraction record for Cs2CrSeCl6. The PXRD pattern is computed, not measured: it uses DFT lattice parameters and positions (GGA-PBE) and λ = 1.5418 Å (Cu Kα).

Cell and atoms:
Unit cell a=7.4811 b=7.4811 c=7.4811 alpha=115.90 beta=115.90 gamma=97.25
Element x y z (fractional)
1 Cs 0.2500 0.7500 0.5000
2 Cs 0.7500 0.2500 0.5000
3 Cr 0.0000 0.0000 0.0000
4 Se 0.5000 0.5000 0.0000
5 Cl 0.2099 0.2099 0.4198
6 Cl 0.2099 0.7901 0.0000
7 Cl 0.2554 0.2554 0.0000
8 Cl 0.7446 0.7446 0.0000
9 Cl 0.7901 0.2099 0.0000
10 Cl 0.7901 0.7901 0.5802

The 10 most intense peaks (10° ≤ 2θ ≤ 90°), in order of falling intensity:
2θ/deg  d/Å  I_rel
23.98  3.711  100
31.88  2.807  74
22.40  3.970  62
28.84  3.096  62
40.29  2.239  42
49.10  1.855  41
36.34  2.472  28
45.71  1.985  23
43.10  2.099  22
59.75  1.548  20



Entry 4:
Diffraction record for Sc12In3Ni. The PXRD pattern is computed, not measured: it uses DFT lattice parameters and positions (GGA-PBE) and λ = 1.5418 Å (Cu Kα).

Cell and atoms:
Unit cell a=4.5195 b=4.5195 c=17.5512 alpha=90.00 beta=90.00 gamma=90.00
Element x y z (fractional)
1 Sc 0.0000 0.0000 0.0000
2 Sc 0.0000 0.0000 0.2398
3 Sc 0.0000 0.0000 0.5000
4 Sc 0.0000 0.0000 0.7602
5 Sc 0.0000 0.5000 0.1086
6 Sc 0.0000 0.5000 0.3704
7 Sc 0.0000 0.5000 0.6296
8 Sc 0.0000 0.5000 0.8914
9 Sc 0.5000 0.0000 0.1086
10 Sc 0.5000 0.0000 0.3704
11 Sc 0.5000 0.0000 0.6296
12 Sc 0.5000 0.0000 0.8914
13 In 0.5000 0.5000 0.2411
14 In 0.5000 0.5000 0.5000
15 In 0.5000 0.5000 0.7589
16 Ni 0.5000 0.5000 0.0000

The 10 most intense peaks (10° ≤ 2θ ≤ 90°), in order of falling intensity:
2θ/deg  d/Å  I_rel
34.73  2.583  100
39.89  2.260  35
69.12  1.359  23
58.65  1.574  17
41.15  2.194  14
19.64  4.520  13
28.35  3.148  11
57.69  1.598  11
73.29  1.292  8
20.24  4.386  7



Entry 5:
Diffraction record for PmDy6Er5. The PXRD pattern is computed, not measured: it uses DFT lattice parameters and positions (GGA-PBE) and λ = 1.5418 Å (Cu Kα).

Cell and atoms:
Unit cell a=6.1191 b=6.1191 c=11.7139 alpha=94.98 beta=94.98 gamma=119.96
Element x y z (fractional)
1 Pm 0.0000 0.0000 0.0000
2 Dy 0.0834 0.4173 0.2515
3 Dy 0.2506 0.2506 0.7487
4 Dy 0.4173 0.0834 0.2515
5 Dy 0.5827 0.9166 0.7485
6 Dy 0.7494 0.7494 0.2513
7 Dy 0.9166 0.5827 0.7485
8 Er 0.1669 0.8331 0.5000
9 Er 0.3332 0.6668 0.0000
10 Er 0.5000 0.5000 0.5000
11 Er 0.6668 0.3332 0.0000
12 Er 0.8331 0.1669 0.5000

The 9 most intense peaks (10° ≤ 2θ ≤ 90°), in order of falling intensity:
2θ/deg  d/Å  I_rel
31.00  2.885  100
35.95  2.498  51
51.75  1.767  36
61.55  1.507  36
84.53  1.146  18
87.26  1.117  17
64.62  1.442  12
61.58  1.506  7
76.22  1.249  6



Entry 6:
Diffraction record for Li3InBi2. The PXRD pattern is computed, not measured: it uses DFT lattice parameters and positions (GGA-PBE) and λ = 1.5418 Å (Cu Kα).

Cell and atoms:
Unit cell a=8.8569 b=8.8569 c=8.8569 alpha=135.48 beta=59.04 gamma=143.27
Element x y z (fractional)
1 Li 0.1973 0.9473 0.2500
2 Li 0.3009 0.2334 0.0675
3 Li 0.3342 0.7666 0.5675
4 Li 0.6658 0.2334 0.4325
5 Li 0.6991 0.7666 0.9325
6 Li 0.8027 0.0527 0.7500
7 In 0.3180 0.5680 0.7500
8 In 0.6820 0.4320 0.2500
9 Bi 0.1478 0.0000 0.6478
10 Bi 0.1478 0.5000 0.1478
11 Bi 0.8522 0.0000 0.3522
12 Bi 0.8522 0.5000 0.8522

The 10 most intense peaks (10° ≤ 2θ ≤ 90°), in order of falling intensity:
2θ/deg  d/Å  I_rel
23.53  3.780  100
31.65  2.827  48
35.79  2.509  48
16.89  5.248  45
35.48  2.530  44
52.32  1.748  32
42.12  2.145  29
39.88  2.260  27
59.60  1.551  23
34.92  2.569  20



Entry 7:
Diffraction record for Tb7Pm6Y16. The PXRD pattern is computed, not measured: it uses DFT lattice parameters and positions (GGA-PBE) and λ = 1.5418 Å (Cu Kα).

Cell and atoms:
Unit cell a=11.2360 b=11.2360 c=11.2360 alpha=60.00 beta=60.00 gamma=60.00
Element x y z (fractional)
1 Tb 0.0000 0.0000 0.0000
2 Tb 0.0000 0.0000 0.5000
3 Tb 0.0000 0.5000 0.0000
4 Tb 0.0000 0.5000 0.5000
5 Tb 0.5000 0.0000 0.0000
6 Tb 0.5000 0.0000 0.5000
7 Tb 0.5000 0.5000 0.0000
8 Pm 0.2700 0.2700 0.7300
9 Pm 0.2700 0.7300 0.2700
10 Pm 0.2700 0.7300 0.7300
11 Pm 0.7300 0.2700 0.2700
12 Pm 0.7300 0.2700 0.7300
13 Pm 0.7300 0.7300 0.2700
14 Y 0.0486 0.6505 0.6505
15 Y 0.1258 0.1258 0.1258
16 Y 0.1258 0.1258 0.6226
17 Y 0.1258 0.6226 0.1258
18 Y 0.3495 0.3495 0.3495
19 Y 0.3495 0.3495 0.9514
20 Y 0.3495 0.9514 0.3495
21 Y 0.3774 0.8742 0.8742
22 Y 0.6226 0.1258 0.1258
23 Y 0.6505 0.0486 0.6505
24 Y 0.6505 0.6505 0.0486
25 Y 0.6505 0.6505 0.6505
26 Y 0.8742 0.3774 0.8742
27 Y 0.8742 0.8742 0.3774
28 Y 0.8742 0.8742 0.8742
29 Y 0.9514 0.3495 0.3495

The 10 most intense peaks (10° ≤ 2θ ≤ 90°), in order of falling intensity:
2θ/deg  d/Å  I_rel
31.86  2.809  100
56.76  1.622  27
45.68  1.986  15
29.20  3.058  9
27.50  3.244  8
75.71  1.256  8
66.58  1.405  8
15.77  5.618  7
43.76  2.069  7
60.24  1.536  6



Entry 8:
Diffraction record for KMg2Pb9. The PXRD pattern is computed, not measured: it uses DFT lattice parameters and positions (GGA-PBE) and λ = 1.5418 Å (Cu Kα).

Cell and atoms:
Unit cell a=10.8913 b=10.8913 c=3.6190 alpha=90.00 beta=90.00 gamma=120.00
Element x y z (fractional)
1 K 0.0000 0.0000 0.0000
2 Mg 0.3333 0.6667 0.0000
3 Mg 0.6667 0.3333 0.0000
4 Pb 0.0000 0.5000 0.0000
5 Pb 0.1857 0.3714 0.5000
6 Pb 0.1857 0.8143 0.5000
7 Pb 0.3714 0.1857 0.5000
8 Pb 0.5000 0.0000 0.0000
9 Pb 0.5000 0.5000 0.0000
10 Pb 0.6286 0.8143 0.5000
11 Pb 0.8143 0.1857 0.5000
12 Pb 0.8143 0.6286 0.5000

The 10 most intense peaks (10° ≤ 2θ ≤ 90°), in order of falling intensity:
2θ/deg  d/Å  I_rel
31.15  2.871  100
32.89  2.723  89
35.34  2.540  48
16.28  5.446  33
61.53  1.507  30
57.65  1.599  28
45.93  1.976  27
54.88  1.673  20
65.49  1.425  17
89.19  1.098  15



Entry 9:
Diffraction record for Hf6NO. The PXRD pattern is computed, not measured: it uses DFT lattice parameters and positions (GGA-PBE) and λ = 1.5418 Å (Cu Kα).

Cell and atoms:
Unit cell a=5.5732 b=5.5732 c=10.3579 alpha=90.00 beta=90.00 gamma=120.00
Element x y z (fractional)
1 Hf 0.0069 0.3297 0.1234
2 Hf 0.0069 0.6772 0.3766
3 Hf 0.3228 0.3297 0.3766
4 Hf 0.3228 0.9931 0.1234
5 Hf 0.3297 0.0069 0.6234
6 Hf 0.3297 0.3228 0.8766
7 Hf 0.6703 0.6772 0.1234
8 Hf 0.6703 0.9931 0.3766
9 Hf 0.6772 0.0069 0.8766
10 Hf 0.6772 0.6703 0.6234
11 Hf 0.9931 0.3228 0.6234
12 Hf 0.9931 0.6703 0.8766
13 N 0.0000 0.0000 0.0000
14 N 0.0000 0.0000 0.5000
15 O 0.3333 0.6667 0.2500
16 O 0.6667 0.3333 0.7500

The 10 most intense peaks (10° ≤ 2θ ≤ 90°), in order of falling intensity:
2θ/deg  d/Å  I_rel
36.62  2.454  100
34.64  2.589  24
32.12  2.787  21
63.38  1.468  20
68.68  1.367  20
57.26  1.609  19
47.96  1.897  17
69.92  1.345  15
77.85  1.227  4
73.08  1.295  3



Entry 10:
Diffraction record for AcTb5Sm3. The PXRD pattern is computed, not measured: it uses DFT lattice parameters and positions (GGA-PBE) and λ = 1.5418 Å (Cu Kα).

Cell and atoms:
Unit cell a=10.7995 b=10.7995 c=10.7995 alpha=140.61 beta=67.06 gamma=128.09
Element x y z (fractional)
1 Ac 0.3276 0.0776 0.2500
2 Ac 0.6724 0.9224 0.7500
3 Tb 0.1564 0.3266 0.3381
4 Tb 0.1564 0.8182 0.8298
5 Tb 0.3079 0.5579 0.7500
6 Tb 0.4885 0.3266 0.6702
7 Tb 0.4885 0.8182 0.1619
8 Tb 0.5115 0.1818 0.8381
9 Tb 0.5115 0.6734 0.3298
10 Tb 0.6921 0.4421 0.2500
11 Tb 0.8436 0.1818 0.1702
12 Tb 0.8436 0.6734 0.6619
13 Sm 0.0000 0.0000 0.5000
14 Sm 0.0000 0.5000 0.0000
15 Sm 0.1831 0.2482 0.9348
16 Sm 0.1866 0.7518 0.4348
17 Sm 0.8134 0.2482 0.5652
18 Sm 0.8169 0.7518 0.0652

The 10 most intense peaks (10° ≤ 2θ ≤ 90°), in order of falling intensity:
2θ/deg  d/Å  I_rel
30.23  2.956  100
32.60  2.746  67
29.77  3.001  67
28.76  3.104  66
37.94  2.371  42
57.01  1.615  39
37.02  2.428  29
51.51  1.774  23
59.39  1.556  19
64.55  1.444  18



Entry 11:
Diffraction record for Nd6Sn5. The PXRD pattern is computed, not measured: it uses DFT lattice parameters and positions (GGA-PBE) and λ = 1.5418 Å (Cu Kα).

Cell and atoms:
Unit cell a=9.7056 b=9.7056 c=9.7056 alpha=145.83 beta=137.79 gamma=55.39
Element x y z (fractional)
1 Nd 0.0772 0.3315 0.7457
2 Nd 0.2405 0.0000 0.2405
3 Nd 0.4143 0.6685 0.7457
4 Nd 0.5857 0.3315 0.2543
5 Nd 0.7595 0.0000 0.7595
6 Nd 0.9228 0.6685 0.2543
7 Sn 0.0000 0.5000 0.5000
8 Sn 0.1694 0.1694 0.0000
9 Sn 0.3433 0.8433 0.5000
10 Sn 0.6567 0.1567 0.5000
11 Sn 0.8306 0.8306 0.0000

The 10 most intense peaks (10° ≤ 2θ ≤ 90°), in order of falling intensity:
2θ/deg  d/Å  I_rel
33.91  2.644  100
31.37  2.852  31
31.22  2.865  31
57.48  1.603  23
44.85  2.021  23
57.30  1.608  21
62.28  1.491  17
71.36  1.322  11
75.65  1.257  10
52.35  1.748  8



Entry 12:
Diffraction record for BC3. The PXRD pattern is computed, not measured: it uses DFT lattice parameters and positions (GGA-PBE) and λ = 1.5418 Å (Cu Kα).

Cell and atoms:
Unit cell a=3.8121 b=2.5109 c=7.7719 alpha=90.00 beta=90.05 gamma=90.00
Element x y z (fractional)
1 B 0.0000 0.0000 0.0000
2 B 0.0079 0.0000 0.3325
3 B 0.5069 0.5000 0.8296
4 C 0.2210 0.0000 0.8229
5 C 0.2572 0.0000 0.5031
6 C 0.2592 0.0000 0.1679
7 C 0.4920 0.5000 0.1671
8 C 0.4954 0.5000 0.5002
9 C 0.7141 0.5000 0.3342
10 C 0.7213 0.5000 0.0058
11 C 0.7573 0.5000 0.6574
12 C 0.9927 0.0000 0.6608

The 10 most intense peaks (10° ≤ 2θ ≤ 90°), in order of falling intensity:
2θ/deg  d/Å  I_rel
43.14  2.097  100
42.17  2.143  96
72.11  1.310  52
88.78  1.102  17
73.05  1.295  13
75.77  1.255  12
85.02  1.141  10
85.68  1.134  6
26.04  3.422  6
11.39  7.772  5



Please write out number 11 again, unchanged.
Diffraction record for Nd6Sn5. The PXRD pattern is computed, not measured: it uses DFT lattice parameters and positions (GGA-PBE) and λ = 1.5418 Å (Cu Kα).

Cell and atoms:
Unit cell a=9.7056 b=9.7056 c=9.7056 alpha=145.83 beta=137.79 gamma=55.39
Element x y z (fractional)
1 Nd 0.0772 0.3315 0.7457
2 Nd 0.2405 0.0000 0.2405
3 Nd 0.4143 0.6685 0.7457
4 Nd 0.5857 0.3315 0.2543
5 Nd 0.7595 0.0000 0.7595
6 Nd 0.9228 0.6685 0.2543
7 Sn 0.0000 0.5000 0.5000
8 Sn 0.1694 0.1694 0.0000
9 Sn 0.3433 0.8433 0.5000
10 Sn 0.6567 0.1567 0.5000
11 Sn 0.8306 0.8306 0.0000

The 10 most intense peaks (10° ≤ 2θ ≤ 90°), in order of falling intensity:
2θ/deg  d/Å  I_rel
33.91  2.644  100
31.37  2.852  31
31.22  2.865  31
57.48  1.603  23
44.85  2.021  23
57.30  1.608  21
62.28  1.491  17
71.36  1.322  11
75.65  1.257  10
52.35  1.748  8